Simulated XRD peak list
Compound: Tb2Ho3PuSe6
Radiation: Cu Kα X-rays
Structure: a structure optimized by DFT (GGA-PBE)
Neutral-atom scattering factors, no anomalous dispersion.

Cell and atoms:
```
data_Tb2Ho3PuSe6
_chemical_formula_sum 'Tb4 Ho6 Pu2 Se12'
_cell_length_a 17.812
_cell_length_b 4.060
_cell_length_c 8.202
_cell_angle_alpha 90.00
_cell_angle_beta 103.47
_cell_angle_gamma 90.00
_space_group_name_H-M_alt 'C 1 2/m 1'
_space_group_IT_number 12
_space_group_name_Hall '-C 2y'
loop_
_atom_site_label
_atom_site_fract_x
_atom_site_fract_y
_atom_site_fract_z
_atom_site_occupancy
Tb1 0.164 0.000 0.329 1
Ho1 0.000 0.500 0.500 1
Ho2 0.165 0.000 0.835 1
Pu1 0.000 0.500 0.000 1
Se1 0.001 0.000 0.746 1
Se2 0.167 0.500 0.586 1
Se3 0.169 0.500 0.082 1
```

The 6 most intense peaks (10° ≤ 2θ ≤ 90°), by intensity:
index  d/Å  2theta  intensity
1 1 -2  2.886  30.99  1000
5 1 2  2.041  44.39  495
4 0 -2  3.343  26.66  130
6 2 0  1.661  55.32  130
3 1 0  3.321  26.84  128
2 0 -4  2.050  44.17  126